Diffraction record for SrMg6Sn. The XRD peak list is calculated, not measured: it uses a crystal structure in the Materials Project, relaxed with GGA-PBE and λ = 1.5418 Å (Cu Kα).
No peak broadening, texture or thermal motion is included.

Peak list (8 most intense, 2θ = 10–90°, in order of rising 2θ)
2θ = 14.61°, rel. 45; 2θ = 16.86°, rel. 36; 2θ = 22.38°, rel. 41; 2θ = 31.01°, rel. 38; 2θ = 34.12°, rel. 92; 2θ = 35.50°, rel. 100; 2θ = 46.75°, rel. 23; 2θ = 67.32°, rel. 25

Cell and atoms:
Lattice parameters (Å, degrees): 5.259 6.557 12.125 90.00 90.00 90.00
Space group Amm2 (No. 38)
Unique sites:
Sr: 0.000 0.000 0.000 x2
Mg: 0.000 0.249 0.248 x4
Mg: 0.500 0.000 0.172 x2
Mg: 0.500 0.000 0.663 x2
Mg: 0.500 0.241 0.405 x4
Sn: 0.000 0.000 0.492 x2

=====

Diffraction record for K4Sb2O5. The XRD peak list is calculated, not measured: it uses a crystal structure in the Materials Project, relaxed with GGA-PBE and λ = 1.5418 Å (Cu Kα).
No peak broadening, texture or thermal motion is included.

Peak list (8 most intense, 2θ = 10–90°, in order of rising 2θ)
2θ = 16.69°, rel. 38; 2θ = 23.13°, rel. 16; 2θ = 27.55°, rel. 27; 2θ = 28.85°, rel. 20; 2θ = 30.26°, rel. 100; 2θ = 40.31°, rel. 28; 2θ = 50.43°, rel. 23; 2θ = 52.01°, rel. 17

Cell and atoms:
Lattice parameters (Å, degrees): 6.476 3.931 18.571 90.00 90.00 90.00
Space group Amm2 (No. 38)
Unique sites:
K: 0.000 0.000 0.000 x2
K: 0.000 0.000 0.334 x2
K: 0.500 0.000 0.195 x2
K: 0.500 0.000 0.860 x2
Sb: 0.000 0.000 0.680 x2
Sb: 0.500 0.000 0.510 x2
O: 0.228 0.000 0.749 x4
O: 0.269 0.000 0.445 x4
O: 0.500 0.000 0.049 x2

=====

Diffraction record for TePb2S. The XRD peak list is calculated, not measured: it uses a crystal structure in the Materials Project, relaxed with GGA-PBE and λ = 1.5418 Å (Cu Kα).
No peak broadening, texture or thermal motion is included.

Peak list (8 most intense, 2θ = 10–90°, in order of rising 2θ)
2θ = 24.33°, rel. 46; 2θ = 28.10°, rel. 43; 2θ = 28.21°, rel. 86; 2θ = 40.26°, rel. 100; 2θ = 47.65°, rel. 17; 2θ = 49.86°, rel. 36; 2θ = 66.00°, rel. 31; 2θ = 73.24°, rel. 23

Cell and atoms:
Lattice parameters (Å, degrees): 4.474 4.474 6.351 90.00 90.00 90.00
Space group P4/mmm (No. 123)
Unique sites:
Te: 0.000 0.000 0.000 x1
Pb: 0.000 0.000 0.500 x1
Pb: 0.500 0.500 0.000 x1
S: 0.500 0.500 0.500 x1

=====

Diffraction record for Cu13Se8. The XRD peak list is calculated, not measured: it uses a crystal structure in the Materials Project, relaxed with GGA-PBE and λ = 1.5418 Å (Cu Kα).
No peak broadening, texture or thermal motion is included.

Peak list (8 most intense, 2θ = 10–90°, in order of rising 2θ)
2θ = 21.96°, rel. 12; 2θ = 26.98°, rel. 47; 2θ = 44.77°, rel. 100; 2θ = 53.05°, rel. 21; 2θ = 65.18°, rel. 15; 2θ = 71.88°, rel. 8; 2θ = 82.55°, rel. 31; 2θ = 88.81°, rel. 7

Cell and atoms:
Lattice parameters (Å, degrees): 11.450 11.450 11.450 90.00 90.00 90.00
Space group F-43m (No. 216)
Unique sites:
Cu: 0.000 0.000 0.000 x4
Cu: 0.000 0.000 0.253 x24
Cu: 0.004 0.250 0.250 x24
Se: 0.125 0.125 0.375 x16
Se: 0.127 0.127 0.873 x16

=====

Diffraction record for K2IrAuF6. The XRD peak list is calculated, not measured: it uses a crystal structure in the Materials Project, relaxed with GGA-PBE and λ = 1.5418 Å (Cu Kα).
No peak broadening, texture or thermal motion is included.

Peak list (8 most intense, 2θ = 10–90°, in order of rising 2θ)
2θ = 19.93°, rel. 74; 2θ = 28.33°, rel. 100; 2θ = 40.50°, rel. 35; 2θ = 45.53°, rel. 36; 2θ = 50.17°, rel. 41; 2θ = 58.62°, rel. 22; 2θ = 66.36°, rel. 19; 2θ = 80.72°, rel. 22

Cell and atoms:
Lattice parameters (Å, degrees): 8.909 8.909 8.909 90.00 90.00 90.00
Space group Fm-3m (No. 225)
Unique sites:
K: 0.250 0.250 0.250 x8
Ir: 0.000 0.000 0.000 x4
Au: 0.000 0.000 0.500 x4
F: 0.000 0.000 0.230 x24

=====

Diffraction record for Ba2LaPaO6. The XRD peak list is calculated, not measured: it uses a crystal structure in the Materials Project, relaxed with GGA-PBE and λ = 1.5418 Å (Cu Kα).
No peak broadening, texture or thermal motion is included.

Peak list (8 most intense, 2θ = 10–90°, in order of rising 2θ)
2θ = 19.52°, rel. 6; 2θ = 27.74°, rel. 100; 2θ = 39.63°, rel. 29; 2θ = 49.06°, rel. 43; 2θ = 57.29°, rel. 19; 2θ = 64.82°, rel. 19; 2θ = 71.90°, rel. 6; 2θ = 78.71°, rel. 22

Cell and atoms:
Lattice parameters (Å, degrees): 9.097 9.097 9.097 90.00 90.00 90.00
Space group Fm-3m (No. 225)
Unique sites:
Ba: 0.250 0.250 0.250 x8
La: 0.000 0.000 0.000 x4
Pa: 0.000 0.000 0.500 x4
O: 0.000 0.000 0.260 x24